This entry pairs a crystal structure of BaCuS2 with its theoretical PXRD pattern. Radiation: Cu Ka. Structure: the GGA-PBE geometry in the Materials Project.
Neutral-atom scattering factors, no anomalous dispersion.

The 10 most intense peaks (5° ≤ 2θ ≤ 70°), low angle first:
h k l, 2θ/deg, intensity
1 0 0, 18.7, 12
1 1 0, 26.6, 24
1 0 1, 27.7, 100
1 1 1, 33.7, 24
2 0 0, 38.0, 38
0 0 2, 41.2, 15
2 1 1, 47.7, 44
2 2 0, 54.8, 12
2 0 2, 57.3, 21
3 0 1, 62.5, 10

Lattice parameters (Å, degrees): 4.7406 4.7406 4.3797 90.00 90.00 90.00
Space group P4/mmm (No. 123)
Inequivalent atoms, fractional coordinates:
Ba 0.0000 0.0000 0.0000
Cu 0.5000 0.5000 0.5000
S 0.0000 0.5000 0.5000